Starting from a PBE+U-relaxed structure, the XRD peak list of Li2MnP4O12 was calculated for Cu Ka.
No peak broadening, texture or thermal motion is included.

Main lines, in order of rising 2θ (10° ≤ 2θ ≤ 80°):
two_theta	I_rel
18.82	13
18.98	39
23.23	77
26.73	39
29.96	14
32.99	100
38.16	14
39.47	43
44.07	14
49.54	20
55.34	20
65.72	16

Structural model:
```
Li2MnP4O12
1.0
9.4327 0.0000 0.0000
0.0000 9.4327 0.0000
0.0000 0.0000 4.6756
Li Mn P O
4 2 8 24
Direct
0.0000 0.0000 0.0000
0.0000 0.5000 0.0000
0.5000 0.0000 0.0000
0.5000 0.5000 0.0000
0.2500 0.2500 0.0000
0.7500 0.7500 0.0000
0.0285 0.7500 0.5000
0.2500 0.5285 0.5000
0.2500 0.9715 0.5000
0.4715 0.7500 0.5000
0.5285 0.2500 0.5000
0.7500 0.0285 0.5000
0.7500 0.4715 0.5000
0.9715 0.2500 0.5000
0.0475 0.1787 0.2574
0.0475 0.3213 0.7426
0.1367 0.6367 0.6490
0.1367 0.8633 0.3510
0.1787 0.0475 0.7426
0.1787 0.4525 0.2574
0.3213 0.0475 0.2574
0.3213 0.4525 0.7426
0.3633 0.6367 0.3510
0.3633 0.8633 0.6490
0.4525 0.1787 0.7426
0.4525 0.3213 0.2574
0.5475 0.6787 0.7426
0.5475 0.8213 0.2574
0.6367 0.1367 0.3510
0.6367 0.3633 0.6490
0.6787 0.5475 0.2574
0.6787 0.9525 0.7426
0.8213 0.5475 0.7426
0.8213 0.9525 0.2574
0.8633 0.1367 0.6490
0.8633 0.3633 0.3510
0.9525 0.6787 0.2574
0.9525 0.8213 0.7426
```